For Mg2MnAl3S8, the PBE geometry in the Materials Project gives the theoretical powder X-ray diffraction pattern in this record (Cu Kα X-rays).

```
Mg2MnAl3S8
1.0
6.272 -3.624 0.000
6.272 3.624 0.000
-4.185 0.000 5.934
Mg Mn Al S
2 1 3 8
Cartesian
-0.001 0.000 2.223
8.361 0.000 3.711
4.180 0.000 2.967
3.136 1.812 0.000
3.136 -1.812 0.000
6.272 0.000 0.000
5.130 1.644 1.388
2.287 0.000 1.394
-0.003 0.000 4.663
3.230 1.644 4.546
5.130 -1.644 1.388
8.363 0.000 1.271
6.072 0.000 4.540
3.230 -1.644 4.546
```

Largest 8 diffraction maxima, low angle first, 5 to 70 degrees two-theta:
2θ 14.97, I = 48
2θ 28.86, I = 58
2θ 30.18, I = 26
2θ 34.99, I = 100
2θ 45.96, I = 24
2θ 46.01, I = 22
2θ 50.27, I = 52
2θ 50.38, I = 53

For LiHg3, the PBE geometry in the Materials Project gives the theoretical powder X-ray diffraction pattern in this record (Cu Kα X-rays).

```
LiHg3
1.0
4.537 0.000 0.000
0.000 4.537 0.000
0.000 0.000 4.537
Li Hg
1 3
Cartesian
0.000 0.000 0.000
0.000 2.269 2.269
2.269 0.000 2.269
2.269 2.269 0.000
```

Largest 8 diffraction maxima, low angle first, 5 to 70 degrees two-theta:
2θ 19.56, I = 30
2θ 27.81, I = 26
2θ 34.23, I = 100
2θ 39.73, I = 50
2θ 44.66, I = 15
2θ 49.19, I = 11
2θ 57.44, I = 35
2θ 68.60, I = 41

For K2RuCl6, the PBE geometry in the Materials Project gives the theoretical powder X-ray diffraction pattern in this record (Cu Kα X-rays).

```
K2RuCl6
1.0
0.000 4.951 4.951
4.951 0.000 4.951
4.951 4.951 0.000
K Ru Cl
2 1 6
Cartesian
2.476 2.476 2.476
7.427 7.427 7.427
0.000 0.000 0.000
4.951 4.951 2.351
4.951 2.351 4.951
7.552 4.951 4.951
2.351 4.951 4.951
4.951 7.552 4.951
4.951 4.951 7.552
```

Largest 8 diffraction maxima, low angle first, 5 to 70 degrees two-theta:
2θ 15.50, I = 100
2θ 17.92, I = 34
2θ 25.44, I = 40
2θ 29.93, I = 39
2θ 31.29, I = 45
2θ 36.29, I = 92
2θ 47.72, I = 22
2θ 52.26, I = 57

For V6InS8, the PBE geometry in the Materials Project gives the theoretical powder X-ray diffraction pattern in this record (Cu Kα X-rays).

```
V6InS8
1.0
9.186 0.000 0.000
-4.593 7.956 0.000
0.000 0.000 3.236
V In S
6 1 8
Cartesian
-0.619 1.719 0.000
-1.805 5.617 1.622
-2.795 7.632 0.000
0.631 3.584 1.622
1.174 6.710 1.622
3.414 6.560 0.000
4.593 2.652 1.972
0.000 0.000 1.618
-1.637 3.052 1.616
1.649 2.246 0.007
0.000 5.304 0.003
-1.131 7.848 1.616
2.769 5.012 1.616
6.417 0.305 0.007
5.714 5.405 0.007
```

Largest 8 diffraction maxima, low angle first, 5 to 70 degrees two-theta:
2θ 22.35, I = 31
2θ 29.77, I = 45
2θ 33.83, I = 37
2θ 35.77, I = 21
2θ 40.94, I = 100
2θ 48.61, I = 29
2θ 52.73, I = 18
2θ 58.01, I = 14

For BaZnAs2O7, the PBE geometry in the Materials Project gives the theoretical powder X-ray diffraction pattern in this record (Cu Kα X-rays).

```
BaZnAs2O7
1.0
5.746 0.000 0.000
0.000 8.691 0.000
-5.709 0.000 13.598
Ba Zn As O
4 4 8 28
Cartesian
-1.226 1.339 2.923
-4.080 3.006 9.721
4.117 5.685 3.876
1.263 7.352 10.675
-1.880 5.642 8.324
0.974 7.394 1.525
-0.937 1.297 12.072
1.917 3.049 5.274
1.882 1.610 0.183
-0.972 2.735 6.981
-1.419 0.289 8.946
1.435 4.056 2.147
-1.398 4.635 11.451
1.456 8.402 4.652
1.009 5.956 6.616
-1.845 7.081 13.415
-4.634 1.429 12.281
-1.780 2.917 5.482
-3.027 0.524 9.403
-0.172 3.822 2.605
1.123 0.788 1.486
-1.732 3.558 8.285
-2.511 5.393 10.384
0.343 7.643 3.585
-1.198 0.979 7.305
1.657 3.367 0.506
-0.678 5.662 6.586
-3.532 7.375 13.385
1.927 5.685 2.024
-0.927 7.351 8.823
0.964 1.340 4.774
-1.890 3.006 11.573
3.569 1.316 0.213
0.714 3.029 7.011
-1.620 5.324 13.092
1.235 7.712 6.293
-0.306 1.048 10.013
2.548 3.298 3.214
1.769 5.133 5.313
-1.086 7.903 12.112
0.209 4.869 10.993
3.064 8.167 4.194
1.817 5.774 8.116
4.671 7.263 1.317
```

Largest 8 diffraction maxima, low angle first, 5 to 70 degrees two-theta:
2θ 25.00, I = 100
2θ 25.70, I = 46
2θ 26.55, I = 34
2θ 27.10, I = 78
2θ 28.93, I = 66
2θ 31.13, I = 55
2θ 31.58, I = 49
2θ 32.27, I = 36

For Na3CuSiCO7, the PBE geometry in the Materials Project gives the theoretical powder X-ray diffraction pattern in this record (Cu Kα X-rays).

```
Na3CuSiCO7
1.0
5.153 0.000 0.000
0.000 6.546 0.000
-0.161 0.000 9.099
Na Cu Si C O
6 2 2 2 14
Cartesian
1.198 1.636 0.818
1.182 3.331 6.670
1.182 6.488 6.670
3.811 0.058 2.429
3.811 3.215 2.429
3.794 4.909 8.281
1.029 4.909 3.177
3.963 1.636 5.923
1.441 1.636 3.854
3.551 4.909 5.245
1.391 4.909 0.544
3.602 1.636 8.555
0.226 4.909 1.119
0.677 1.636 5.296
1.084 0.356 2.869
1.084 2.917 2.869
1.320 4.909 8.359
1.924 4.909 4.929
2.451 4.909 1.287
2.541 1.636 7.812
3.069 1.636 4.170
3.673 1.636 0.740
3.909 3.629 6.230
3.909 6.190 6.230
4.316 4.909 3.803
4.766 1.636 7.980
```

Largest 8 diffraction maxima, low angle first, 5 to 70 degrees two-theta:
2θ 9.72, I = 100
2θ 16.68, I = 47
2θ 27.25, I = 89
2θ 33.77, I = 99
2θ 34.02, I = 75
2θ 34.82, I = 76
2θ 48.76, I = 48
2θ 56.21, I = 39

For SrMg6SiO8, the PBE geometry in the Materials Project gives the theoretical powder X-ray diffraction pattern in this record (Cu Kα X-rays).

```
SrMg6SiO8
1.0
4.572 0.000 0.000
0.000 4.572 0.000
0.000 0.000 8.719
Sr Mg Si O
1 6 1 8
Cartesian
0.000 0.000 0.000
0.000 2.286 2.263
0.000 2.286 6.456
2.286 0.000 2.263
2.286 0.000 6.456
2.286 2.286 0.000
2.286 2.286 4.359
0.000 0.000 4.359
0.000 0.000 2.365
0.000 0.000 6.354
0.000 2.286 0.000
0.000 2.286 4.359
2.286 0.000 0.000
2.286 0.000 4.359
2.286 2.286 2.192
2.286 2.286 6.527
```

Largest 8 diffraction maxima, low angle first, 5 to 70 degrees two-theta:
2θ 10.15, I = 16
2θ 19.41, I = 17
2θ 21.95, I = 16
2θ 34.54, I = 35
2θ 39.41, I = 100
2θ 41.42, I = 41
2θ 56.96, I = 30
2θ 58.51, I = 53

For Mg6MnV, the PBE geometry in the Materials Project gives the theoretical powder X-ray diffraction pattern in this record (Cu Kα X-rays).

```
Mg6MnV
1.0
4.918 0.000 0.000
0.000 3.120 5.299
0.000 -3.120 5.299
Mg Mn V
6 1 1
Cartesian
0.000 0.000 0.000
0.000 -1.565 7.840
0.000 0.000 5.293
0.000 1.565 7.840
2.459 -1.565 4.349
2.459 1.565 4.349
2.459 0.000 7.021
2.459 0.000 1.716
```

Largest 8 diffraction maxima, low angle first, 5 to 70 degrees two-theta:
2θ 16.73, I = 15
2θ 33.33, I = 27
2θ 36.54, I = 37
2θ 38.15, I = 100
2θ 38.60, I = 48
2θ 50.29, I = 16
2θ 60.21, I = 16
2θ 66.84, I = 17

For Y3AlNiS7, the PBE geometry in the Materials Project gives the theoretical powder X-ray diffraction pattern in this record (Cu Kα X-rays).

```
Y3AlNiS7
1.0
9.539 0.000 0.000
-4.769 8.261 0.000
0.000 0.000 6.168
Y Al Ni S
6 2 2 14
Cartesian
-0.353 3.103 0.000
-1.906 7.015 0.000
2.510 1.857 3.084
2.259 6.404 0.000
6.676 1.246 3.084
5.122 5.158 3.084
0.000 5.507 2.659
4.770 2.754 5.743
0.000 0.000 2.027
0.000 0.000 5.111
-1.870 4.715 1.688
-0.173 1.911 3.673
-3.028 7.455 3.673
1.569 1.105 0.589
0.000 5.507 4.884
1.621 4.284 1.688
0.249 7.523 1.688
4.520 0.738 4.772
3.149 3.977 4.772
4.770 2.754 1.800
3.201 7.156 3.673
7.797 0.806 0.589
4.942 6.350 0.589
6.640 3.546 4.772
```

Largest 8 diffraction maxima, low angle first, 5 to 70 degrees two-theta:
2θ 10.71, I = 40
2θ 17.95, I = 42
2θ 25.96, I = 100
2θ 35.71, I = 57
2θ 36.35, I = 73
2θ 37.72, I = 63
2θ 41.14, I = 43
2θ 49.53, I = 52